Record 1
Computed X-ray diffraction stick pattern
Compound: ZrAl5Ni2
Radiation: λ = 1.5418 Å (Cu Kα)
Structure: a DFT-relaxed cell (PBE, the Materials Project)
Peak positions follow from Bragg's law for the DFT cell and can differ from measured ones.

Cell and atoms:
a = 4.021 Å, b = 4.021 Å, c = 14.582 Å
α = 90.00°, β = 90.00°, γ = 90.00°
Space group I4/mmm (No. 139)
One atom of each set of equivalent atoms:
Zr 0.000 0.000 0.000 (multiplicity 2)
Al 0.000 0.000 0.500 (multiplicity 2)
Al 0.000 0.500 0.148 (multiplicity 8)
Ni 0.000 0.000 0.240 (multiplicity 4)

Principal peaks in the range 2θ from 10° to 90°, low angle first:
2θ/deg  I_rel
22.94  21.7
24.42  20.1
31.46  17.7
38.12  12.0
40.22  100.0
45.09  40.3
50.04  8.9
51.94  9.7
60.32  8.8
65.68  12.5
69.62  12.6
79.90  24.7

Record 2
Computed X-ray diffraction stick pattern
Compound: Na3AsBr6
Radiation: λ = 1.5418 Å (Cu Kα)
Structure: a DFT-relaxed cell (PBE, the Materials Project)
Peak positions follow from Bragg's law for the DFT cell and can differ from measured ones.

Cell and atoms:
a = 11.015 Å, b = 11.015 Å, c = 11.015 Å
α = 90.00°, β = 90.00°, γ = 90.00°
Space group Fm-3m (No. 225)
One atom of each set of equivalent atoms:
Na 0.000 0.000 0.000 (multiplicity 4)
Na 0.250 0.250 0.250 (multiplicity 8)
As 0.000 0.000 0.500 (multiplicity 4)
Br 0.000 0.000 0.260 (multiplicity 24)

Principal peaks in the range 2θ from 10° to 90°, low angle first:
2θ/deg  I_rel
13.93  17.5
16.09  66.7
28.06  92.2
32.51  100.0
36.48  32.5
46.64  69.8
49.66  16.4
55.32  37.4
58.01  23.5
75.20  14.3
77.51  28.8
86.59  21.7

Record 3
Computed X-ray diffraction stick pattern
Compound: CuB4O7
Radiation: λ = 1.5418 Å (Cu Kα)
Structure: a DFT-relaxed cell (PBE, the Materials Project)
Peak positions follow from Bragg's law for the DFT cell and can differ from measured ones.

Cell and atoms:
a = 10.880 Å, b = 6.556 Å, c = 5.156 Å
α = 90.00°, β = 90.00°, γ = 90.00°
Space group Cmcm (No. 63)
One atom of each set of equivalent atoms:
Cu 0.000 0.221 0.250 (multiplicity 4)
B 0.114 0.312 0.750 (multiplicity 8)
B 0.203 0.000 0.000 (multiplicity 8)
O 0.000 0.422 0.750 (multiplicity 4)
O 0.127 0.183 0.521 (multiplicity 16)
O 0.220 0.477 0.750 (multiplicity 8)

Principal peaks in the range 2θ from 10° to 90°, low angle first:
2θ/deg  I_rel
16.29  31.7
23.42  63.5
27.20  28.0
31.87  93.8
32.36  25.7
33.15  100.0
38.65  28.5
45.86  33.2
47.42  32.5
47.90  31.5
48.66  57.5
51.97  22.9

Record 4
Computed X-ray diffraction stick pattern
Compound: Te2Mo3WS6
Radiation: λ = 1.5418 Å (Cu Kα)
Structure: a DFT-relaxed cell (PBE, the Materials Project)
Peak positions follow from Bragg's law for the DFT cell and can differ from measured ones.

Cell and atoms:
a = 3.2762 Å, b = 3.2762 Å, c = 38.0690 Å
α = 90.00°, β = 90.00°, γ = 120.00°
Space group P3m1 (No. 156)
One atom of each set of equivalent atoms:
Te 0.0000 0.0000 0.0000 (multiplicity 1)
Te 0.0000 0.0000 0.1017 (multiplicity 1)
Mo 0.0000 0.0000 0.2391 (multiplicity 1)
Mo 0.0000 0.0000 0.8625 (multiplicity 1)
Mo 0.6667 0.3333 0.6750 (multiplicity 1)
W 0.6667 0.3333 0.0509 (multiplicity 1)
S 0.0000 0.0000 0.6345 (multiplicity 1)
S 0.0000 0.0000 0.7154 (multiplicity 1)
S 0.6667 0.3333 0.1987 (multiplicity 1)
S 0.6667 0.3333 0.2795 (multiplicity 1)
S 0.6667 0.3333 0.8221 (multiplicity 1)
S 0.6667 0.3333 0.9029 (multiplicity 1)

Principal peaks in the range 2θ from 10° to 90°, low angle first:
2θ/deg  I_rel
11.62  100.0
13.96  17.6
31.56  38.8
33.71  13.4
35.69  16.8
36.88  67.8
38.19  19.2
44.46  37.2
46.24  12.7
56.17  29.0
69.09  10.6
78.73  9.9

Number 4 is which compound? Te2Mo3WS6

What did the fourth record say?
Computed X-ray diffraction stick pattern
Compound: Te2Mo3WS6
Radiation: λ = 1.5418 Å (Cu Kα)
Structure: a DFT-relaxed cell (PBE, the Materials Project)
Peak positions follow from Bragg's law for the DFT cell and can differ from measured ones.

Cell and atoms:
a = 3.2762 Å, b = 3.2762 Å, c = 38.0690 Å
α = 90.00°, β = 90.00°, γ = 120.00°
Space group P3m1 (No. 156)
One atom of each set of equivalent atoms:
Te 0.0000 0.0000 0.0000 (multiplicity 1)
Te 0.0000 0.0000 0.1017 (multiplicity 1)
Mo 0.0000 0.0000 0.2391 (multiplicity 1)
Mo 0.0000 0.0000 0.8625 (multiplicity 1)
Mo 0.6667 0.3333 0.6750 (multiplicity 1)
W 0.6667 0.3333 0.0509 (multiplicity 1)
S 0.0000 0.0000 0.6345 (multiplicity 1)
S 0.0000 0.0000 0.7154 (multiplicity 1)
S 0.6667 0.3333 0.1987 (multiplicity 1)
S 0.6667 0.3333 0.2795 (multiplicity 1)
S 0.6667 0.3333 0.8221 (multiplicity 1)
S 0.6667 0.3333 0.9029 (multiplicity 1)

Principal peaks in the range 2θ from 10° to 90°, low angle first:
2θ/deg  I_rel
11.62  100.0
13.96  17.6
31.56  38.8
33.71  13.4
35.69  16.8
36.88  67.8
38.19  19.2
44.46  37.2
46.24  12.7
56.17  29.0
69.09  10.6
78.73  9.9